# PuMnNbV
Theoretical PXRD pattern, copper Kα. Input: a DFT-relaxed cell (PBE, Alexandria).
Lines closer than 0.1° are merged.

Atomic structure:
```
data_PuMnNbV
_chemical_formula_sum 'Pu4 Mn4 Nb4 V4'
_cell_length_a 6.397
_cell_length_b 6.397
_cell_length_c 6.397
_cell_angle_alpha 90.00
_cell_angle_beta 90.00
_cell_angle_gamma 90.00
_symmetry_space_group_name_H-M 'F -4 3 m'
_symmetry_Int_Tables_number 216
_symmetry_space_group_name_Hall 'F -4 2 3'
loop_
_atom_site_label
_atom_site_type_symbol
_atom_site_fract_x
_atom_site_fract_y
_atom_site_fract_z
Pu1 Pu 0.000 0.000 0.000
Mn1 Mn 0.250 0.250 0.750
Nb1 Nb 0.000 0.000 0.500
V1 V 0.250 0.250 0.250
```

Top 10 peaks for 2θ from 10° to 90°, in order of rising 2θ:
hkl 1 1 1, 2θ 24.10, intensity 24
hkl 2 0 0, 2θ 27.89, intensity 33
hkl 2 2 0, 2θ 39.86, intensity 100
hkl 3 1 1, 2θ 47.12, intensity 13
hkl 2 2 2, 2θ 49.35, intensity 10
hkl 4 0 0, 2θ 57.64, intensity 17
hkl 3 3 1, 2θ 63.38, intensity 6
hkl 4 2 0, 2θ 65.22, intensity 14
hkl 4 2 2, 2θ 72.37, intensity 34
hkl 4 4 0, 2θ 85.96, intensity 11